# 1
Starting from the PBE geometry in Alexandria, the powder X-ray diffraction pattern of Th3PSe3 was simulated for Cu Kα, 1.54184 Å.

Structure:
a = 8.532 Å, b = 12.418 Å, c = 7.498 Å
α = 90.00°, β = 91.34°, γ = 90.00°
Space group C2/m (No. 12)
One atom of each set of equivalent atoms:
1 Th 0.063 0.000 0.221 x4
2 Th 0.156 0.347 0.312 x8
3 P 0.250 0.000 0.920 x4
4 Se 0.000 0.163 0.500 x4
5 Se 0.000 0.225 0.000 x4
6 Se 0.122 0.500 0.641 x4

Most intense lines, 2θ from 10° to 90°, low angle first:
2theta	intensity	hkl
23.75	85.1	2 0 -1
23.89	29.0	1 3 0
24.25	32.8	2 0 1
26.62	68.5	1 3 -1
26.84	53.0	1 3 1
32.30	36.6	3 1 0
33.76	100.0	1 3 -2
35.34	45.9	2 2 2
38.43	31.7	3 3 0
40.08	31.6	3 3 -1
43.71	53.0	0 6 0
50.65	29.0	1 1 4

# 2
Starting from the PBE geometry in Alexandria, the powder X-ray diffraction pattern of NaDy2Ge3Pt4 was simulated for Cu Kα, 1.54184 Å.

Structure:
a = 4.144 Å, b = 4.144 Å, c = 11.183 Å
α = 90.00°, β = 90.00°, γ = 90.00°
Space group P-4m2 (No. 115)
One atom of each set of equivalent atoms:
1 Na 0.000 0.000 0.000 x1
2 Dy 0.000 0.500 0.738 x2
3 Ge 0.000 0.500 0.369 x2
4 Ge 0.500 0.500 0.000 x1
5 Pt 0.000 0.000 0.500 x1
6 Pt 0.000 0.500 0.154 x2
7 Pt 0.500 0.500 0.500 x1

Most intense lines, 2θ from 10° to 90°, low angle first:
2theta	intensity	hkl
23.87	15.1	0 0 3
26.78	14.5	1 0 2
31.56	19.6	1 1 1
32.30	33.4	1 0 3
34.56	100.0	1 1 2
43.68	52.3	2 0 0
44.80	20.5	1 1 4
46.12	32.3	1 0 5
55.36	14.5	2 1 3
63.49	17.3	2 2 0
65.39	22.8	2 1 5
74.34	21.9	3 1 2

# 3
Starting from the PBE geometry in Alexandria, the powder X-ray diffraction pattern of YHo5Er7 was simulated for Cu Kα, 1.54184 Å.

Structure:
a = 6.622 Å, b = 11.070 Å, c = 11.422 Å
α = 90.00°, β = 90.00°, γ = 90.00°
Space group Imm2 (No. 44)
One atom of each set of equivalent atoms:
1 Y 0.000 0.000 0.000 x2
2 Ho 0.000 0.500 0.304 x2
3 Ho 0.233 0.227 0.803 x8
4 Er 0.000 0.000 0.310 x2
5 Er 0.000 0.000 0.614 x2
6 Er 0.000 0.327 0.552 x4
7 Er 0.000 0.333 0.052 x4
8 Er 0.000 0.500 0.798 x2

Most intense lines, 2θ from 10° to 90°, low angle first:
2theta	intensity	hkl
26.95	22.3	2 0 0
27.67	27.0	1 3 0
31.29	100.0	0 0 4
31.51	52.7	2 2 0
31.88	77.5	1 3 2
35.29	93.9	2 2 2
36.06	33.7	0 4 2
50.77	18.0	3 3 2
55.48	24.7	4 0 0
57.16	25.3	2 6 0
58.35	32.9	2 2 6
66.63	25.5	2 6 4

# 4
Starting from the PBE geometry in Alexandria, the powder X-ray diffraction pattern of Nd3Ga4 was simulated for Cu Kα, 1.54184 Å.

Structure:
a = 4.228 Å, b = 4.401 Å, c = 18.818 Å
α = 90.00°, β = 90.00°, γ = 90.00°
Space group Immm (No. 71)
One atom of each set of equivalent atoms:
1 Nd 0.000 0.000 0.000 x2
2 Nd 0.000 0.500 0.316 x4
3 Ga 0.000 0.000 0.434 x4
4 Ga 0.000 0.500 0.142 x4

Most intense lines, 2θ from 10° to 90°, low angle first:
2theta	intensity	hkl
25.41	20.9	1 0 3
30.83	100.0	1 1 2
31.27	55.2	0 1 5
35.07	27.3	1 1 4
39.73	28.6	1 0 7
41.02	27.4	0 2 0
41.30	16.9	1 1 6
42.78	24.3	2 0 0
53.93	23.6	2 1 5
58.43	18.1	1 2 7
60.76	16.9	2 2 0
68.44	18.4	1 3 2

# 5
Starting from the PBE geometry in Alexandria, the powder X-ray diffraction pattern of CeZnI6 was simulated for Cu Kα, 1.54184 Å.

Structure:
a = 7.385 Å, b = 13.892 Å, c = 7.393 Å
α = 90.00°, β = 110.00°, γ = 90.00°
Space group C2/m (No. 12)
One atom of each set of equivalent atoms:
1 Ce 0.000 0.000 0.000 x2
2 Zn 0.000 0.500 0.500 x2
3 I 0.228 0.353 0.731 x8
4 I 0.245 0.000 0.753 x4

Most intense lines, 2θ from 10° to 90°, low angle first:
2theta	intensity	hkl
12.74	41.5	0 2 0
15.97	33.1	1 1 -1
24.20	47.2	1 3 -1
25.66	43.4	0 0 2
28.55	100.0	1 3 1
29.51	50.6	2 0 -2
36.60	16.9	0 4 2
38.90	19.4	0 6 0
41.53	71.5	1 3 -3
42.67	16.0	2 0 2
49.60	29.1	2 6 -2
52.73	21.8	0 0 4

# 6
Starting from the PBE geometry in Alexandria, the powder X-ray diffraction pattern of NbS3F was simulated for Cu Kα, 1.54184 Å.

Structure:
a = 4.256 Å, b = 4.256 Å, c = 27.200 Å
α = 90.00°, β = 90.00°, γ = 90.00°
Space group I-4m2 (No. 119)
One atom of each set of equivalent atoms:
1 Nb 0.000 0.000 0.000 x2
2 Nb 0.000 0.500 0.250 x2
3 S 0.000 0.233 0.166 x8
4 S 0.000 0.500 0.541 x4
5 F 0.000 0.000 0.262 x4

Most intense lines, 2θ from 10° to 90°, low angle first:
2theta	intensity	hkl
13.02	83.9	0 0 4
21.13	100.0	1 0 1
23.08	49.6	1 0 3
26.59	23.2	1 0 5
31.17	37.9	1 0 7
35.81	20.3	1 1 6
42.27	23.8	1 0 11
42.48	19.3	2 0 0
44.61	30.4	2 0 4
44.92	16.7	1 1 10
48.89	26.1	2 1 3
53.61	23.5	2 1 7

# 7
Starting from the PBE geometry in Alexandria, the powder X-ray diffraction pattern of Rb2PuCu2Cl6 was simulated for Cu Kα, 1.54184 Å.

Structure:
a = 12.887 Å, b = 7.534 Å, c = 8.034 Å
α = 90.00°, β = 121.61°, γ = 90.00°
Space group C2/m (No. 12)
One atom of each set of equivalent atoms:
1 Rb 0.224 0.000 0.200 x4
2 Pu 0.000 0.000 0.500 x2
3 Cu 0.042 0.500 0.183 x4
4 Cl 0.051 0.247 0.795 x8
5 Cl 0.249 0.000 0.636 x4

Most intense lines, 2θ from 10° to 90°, low angle first:
2theta	intensity	hkl
16.17	74.8	2 0 0
22.00	64.8	1 1 1
23.62	49.6	0 2 0
23.85	100.0	3 1 -1
25.73	71.8	1 1 -2
32.67	84.5	4 0 0
35.10	28.5	2 2 1
37.81	24.3	5 1 -1
40.68	23.9	4 2 0
41.64	32.0	3 3 -1
42.86	28.8	1 3 -2
46.44	26.0	3 1 2